[1]
This entry pairs a crystal structure of MgTe4Pb6Br4O12 with its theoretical powder diffractogram. Radiation: Cu Ka. Structure: a cell relaxed with GGA-PBE.
Intensities are scaled so that the largest is 100.

Structural model:
```
MgTe4Pb6Br4O12
1.0
5.8443 0.0000 0.0000
2.4086 8.8291 0.0000
0.5645 2.9336 12.3163
Mg Te Pb Br O
1 4 6 4 12
Direct
0.0000 0.0000 0.0000 Mg
0.2292 0.1119 0.5412 Te
0.4124 0.6044 0.8532 Te
0.6175 0.2561 0.0031 Te
0.9914 0.6070 0.3901 Te
0.1572 0.2677 0.1804 Pb
0.3697 0.7020 0.5618 Pb
0.4399 0.7885 0.2112 Pb
0.6729 0.0403 0.3457 Pb
0.8022 0.9131 0.7040 Pb
0.9961 0.4436 0.7476 Pb
0.2436 0.0255 0.8341 Br
0.6177 0.4060 0.2716 Br
0.6405 0.2853 0.6183 Br
0.9572 0.7319 0.0644 Br
0.0155 0.5901 0.5404 O
0.0594 0.9543 0.5578 O
0.1534 0.6719 0.7375 O
0.1594 0.7625 0.3490 O
0.2533 0.1603 0.3893 O
0.3378 0.4060 0.8722 O
0.4406 0.0385 0.2060 O
0.5267 0.9554 0.5587 O
0.6272 0.6478 0.7364 O
0.6824 0.7490 0.3641 O
0.7394 0.4361 0.9245 O
0.9396 0.1512 0.0895 O
```

Largest 10 diffraction maxima, sorted by position, 2θ = 10–80°:
- 11.11°, rel. 40
- 20.26°, rel. 34
- 25.52°, rel. 90
- 26.62°, rel. 100
- 27.95°, rel. 53
- 28.87°, rel. 61
- 30.34°, rel. 73
- 30.70°, rel. 53
- 37.64°, rel. 30
- 43.78°, rel. 26

=====

[2]
This entry pairs a crystal structure of Tl2CdCu with its theoretical powder diffractogram. Radiation: Cu Ka. Structure: a cell relaxed with GGA-PBE.
Intensities are scaled so that the largest is 100.

Structural model:
```
Tl2CdCu
1.0
4.8636 0.0000 0.0000
0.0000 4.8636 0.0000
0.0000 0.0000 4.0691
Tl Cd Cu
2 1 1
Direct
0.0000 0.5000 0.0000 Tl
0.5000 0.0000 0.0000 Tl
0.0000 0.0000 0.5000 Cd
0.5000 0.5000 0.5000 Cu
```

Largest 10 diffraction maxima, sorted by position, 2θ = 10–80°:
- 21.84°, rel. 10
- 25.91°, rel. 13
- 34.14°, rel. 100
- 36.96°, rel. 40
- 44.53°, rel. 12
- 53.27°, rel. 14
- 59.21°, rel. 20
- 64.80°, rel. 31
- 71.89°, rel. 11
- 75.32°, rel. 10

=====

[3]
This entry pairs a crystal structure of La4Pr5Dy4 with its theoretical powder diffractogram. Radiation: Cu Ka. Structure: a cell relaxed with GGA-PBE.
Intensities are scaled so that the largest is 100.

Structural model:
```
La4Pr5Dy4
1.0
9.3578 -2.6048 0.0000
9.3578 2.6048 0.0000
-9.3416 0.0000 9.3625
La Pr Dy
4 5 4
Direct
0.0773 0.0773 0.1941 La
0.3832 0.3832 0.9605 La
0.6168 0.6168 0.0395 La
0.9227 0.9227 0.8059 La
0.0000 0.0000 0.5000 Pr
0.3089 0.3089 0.2671 Pr
0.4582 0.4582 0.6493 Pr
0.5418 0.5418 0.3507 Pr
0.6911 0.6911 0.7329 Pr
0.1540 0.1540 0.8854 Dy
0.2314 0.2314 0.5774 Dy
0.7686 0.7686 0.4226 Dy
0.8460 0.8460 0.1146 Dy
```

Largest 10 diffraction maxima, sorted by position, 2θ = 10–80°:
- 29.77°, rel. 100
- 34.47°, rel. 34
- 34.58°, rel. 17
- 49.58°, rel. 24
- 49.66°, rel. 12
- 58.83°, rel. 15
- 58.98°, rel. 29
- 61.83°, rel. 12
- 72.59°, rel. 2
- 72.79°, rel. 2

=====

[4]
This entry pairs a crystal structure of DyYIn2Se4 with its theoretical powder diffractogram. Radiation: Cu Ka. Structure: a cell relaxed with GGA-PBE.
Intensities are scaled so that the largest is 100.

Structural model:
```
DyYIn2Se4
1.0
7.1865 0.0000 0.0000
0.0000 4.1510 0.0000
-2.3952 0.0000 7.7415
Dy Y In Se
1 1 2 4
Direct
0.0000 0.0000 0.0000 Dy
0.5000 0.5000 0.0000 Y
0.0000 0.5000 0.5000 In
0.5000 0.0000 0.5000 In
0.2357 0.5000 0.2085 Se
0.2633 0.0000 0.7913 Se
0.7367 0.0000 0.2087 Se
0.7643 0.5000 0.7915 Se
```

Largest 10 diffraction maxima, sorted by position, 2θ = 10–80°:
- 25.95°, rel. 6
- 29.22°, rel. 100
- 39.92°, rel. 37
- 43.62°, rel. 35
- 46.95°, rel. 6
- 53.37°, rel. 18
- 60.60°, rel. 11
- 66.01°, rel. 13
- 71.30°, rel. 15
- 77.59°, rel. 10

=====

[5]
This entry pairs a crystal structure of Y4W5 with its theoretical powder diffractogram. Radiation: Cu Ka. Structure: a cell relaxed with GGA-PBE.
Intensities are scaled so that the largest is 100.

Structural model:
```
Y4W5
1.0
-5.2826 5.2826 1.6952
5.2826 -5.2826 1.6952
5.2826 5.2826 -1.6952
Y W
4 5
Direct
0.0000 0.3114 0.3114 Y
0.0000 0.6886 0.6886 Y
0.3114 0.0000 0.3114 Y
0.6886 0.0000 0.6886 Y
0.0000 0.0000 0.0000 W
0.3210 0.3210 0.6420 W
0.3210 0.6790 0.0000 W
0.6790 0.3210 0.0000 W
0.6790 0.6790 0.3580 W
```

Largest 10 diffraction maxima, sorted by position, 2θ = 10–80°:
- 11.85°, rel. 15
- 16.78°, rel. 11
- 36.07°, rel. 50
- 36.80°, rel. 100
- 50.92°, rel. 6
- 51.93°, rel. 16
- 54.08°, rel. 11
- 65.33°, rel. 30
- 66.75°, rel. 17
- 78.27°, rel. 11

=====

[6]
This entry pairs a crystal structure of CaPuNiN3 with its theoretical powder diffractogram. Radiation: Cu Ka. Structure: a cell relaxed with GGA-PBE.
Intensities are scaled so that the largest is 100.

Structural model:
```
CaPuNiN3
1.0
6.0780 0.0000 0.0000
0.0000 3.5128 0.0000
-1.8052 0.0000 7.9598
Ca Pu Ni N
2 2 2 6
Direct
0.1512 0.2500 0.1969 Ca
0.8488 0.7500 0.8031 Ca
0.3629 0.2500 0.8284 Pu
0.6371 0.7500 0.1716 Pu
0.1436 0.7500 0.5553 Ni
0.8564 0.2500 0.4447 Ni
0.0344 0.2500 0.6576 N
0.2782 0.7500 0.9977 N
0.4390 0.7500 0.7013 N
0.5610 0.2500 0.2987 N
0.7218 0.2500 0.0023 N
0.9656 0.7500 0.3424 N
```

Largest 10 diffraction maxima, sorted by position, 2θ = 10–80°:
- 16.55°, rel. 100
- 27.76°, rel. 18
- 29.71°, rel. 27
- 32.87°, rel. 45
- 33.78°, rel. 20
- 34.04°, rel. 22
- 35.21°, rel. 47
- 39.79°, rel. 20
- 48.18°, rel. 21
- 52.11°, rel. 33

=====

[7]
This entry pairs a crystal structure of CaCd3Sn with its theoretical powder diffractogram. Radiation: Cu Ka. Structure: a cell relaxed with GGA-PBE.
Intensities are scaled so that the largest is 100.

Structural model:
```
CaCd3Sn
1.0
6.0661 0.0000 0.0000
0.0000 6.6428 0.0000
0.0000 0.0000 6.7631
Ca Cd Sn
2 6 2
Direct
0.0000 0.2466 0.0000 Ca
0.5000 0.7534 0.5000 Ca
0.0000 0.5934 0.6520 Cd
0.2497 0.2492 0.4928 Cd
0.2503 0.7508 0.9928 Cd
0.5000 0.4066 0.1520 Cd
0.7503 0.2492 0.4928 Cd
0.7497 0.7508 0.9928 Cd
0.0000 0.8919 0.3457 Sn
0.5000 0.1081 0.8457 Sn
```

Largest 10 diffraction maxima, sorted by position, 2θ = 10–80°:
- 18.72°, rel. 22
- 23.83°, rel. 53
- 29.97°, rel. 21
- 35.13°, rel. 100
- 37.97°, rel. 29
- 39.93°, rel. 20
- 40.89°, rel. 24
- 42.31°, rel. 40
- 42.98°, rel. 23
- 66.77°, rel. 28

=====

[8]
This entry pairs a crystal structure of Ni2IrRhSe8 with its theoretical powder diffractogram. Radiation: Cu Ka. Structure: a cell relaxed with GGA-PBE.
Intensities are scaled so that the largest is 100.

Structural model:
```
Ni2IrRhSe8
1.0
-4.0339 4.0339 4.0544
4.0339 -4.0339 4.0544
4.0339 4.0339 -4.0544
Ni Ir Rh Se
2 1 1 8
Direct
0.0000 0.0000 0.0000 Ni
0.7500 0.2500 0.5000 Ni
0.5000 0.5000 0.0000 Ir
0.2500 0.7500 0.5000 Rh
0.1452 0.4695 0.6757 Se
0.2199 0.0460 0.8261 Se
0.2199 0.3937 0.1739 Se
0.5305 0.2061 0.6757 Se
0.5305 0.8548 0.3243 Se
0.6063 0.7801 0.8261 Se
0.7939 0.4695 0.3243 Se
0.9540 0.7801 0.1739 Se
```

Largest 10 diffraction maxima, sorted by position, 2θ = 10–80°:
- 15.50°, rel. 53
- 22.04°, rel. 100
- 27.02°, rel. 21
- 35.01°, rel. 31
- 35.16°, rel. 61
- 41.83°, rel. 84
- 44.70°, rel. 19
- 44.94°, rel. 20
- 47.71°, rel. 20
- 53.20°, rel. 59

=====

[9]
This entry pairs a crystal structure of BiPPb with its theoretical powder diffractogram. Radiation: Cu Ka. Structure: a cell relaxed with GGA-PBE.
Intensities are scaled so that the largest is 100.

Structural model:
```
BiPPb
1.0
3.8804 0.0000 0.0000
0.0000 15.9971 0.0000
0.0000 0.0000 6.0067
Bi P Pb
4 4 4
Direct
0.0000 0.0582 0.0000 Bi
0.0000 0.9418 0.5000 Bi
0.5000 0.4418 0.5000 Bi
0.5000 0.5582 0.0000 Bi
0.0000 0.1785 0.7057 P
0.0000 0.8215 0.2057 P
0.5000 0.3215 0.2057 P
0.5000 0.6785 0.7057 P
0.0000 0.3375 0.8790 Pb
0.0000 0.6625 0.3790 Pb
0.5000 0.1625 0.3790 Pb
0.5000 0.8375 0.8790 Pb
```

Largest 10 diffraction maxima, sorted by position, 2θ = 10–80°:
- 26.78°, rel. 100
- 27.94°, rel. 90
- 28.45°, rel. 52
- 29.75°, rel. 23
- 32.19°, rel. 41
- 38.31°, rel. 30
- 41.63°, rel. 35
- 46.80°, rel. 38
- 48.66°, rel. 23
- 54.76°, rel. 29

=====

[10]
This entry pairs a crystal structure of Ac2Si3Tc2 with its theoretical powder diffractogram. Radiation: Cu Ka. Structure: a cell relaxed with GGA-PBE.
Intensities are scaled so that the largest is 100.

Structural model:
```
Ac2Si3Tc2
1.0
8.3214 -2.1632 0.0000
8.3214 2.1632 0.0000
-7.1096 0.0000 9.1946
Ac Si Tc
4 6 4
Direct
0.1114 0.1114 0.4546 Ac
0.2366 0.2366 0.8452 Ac
0.7634 0.7634 0.1548 Ac
0.8886 0.8886 0.5454 Ac
0.0882 0.0882 0.9377 Si
0.3659 0.3659 0.7341 Si
0.4370 0.4370 0.3680 Si
0.5630 0.5630 0.6320 Si
0.6341 0.6341 0.2659 Si
0.9118 0.9118 0.0623 Si
0.0854 0.0854 0.1465 Tc
0.4617 0.4617 0.1824 Tc
0.5383 0.5383 0.8176 Tc
0.9146 0.9146 0.8535 Tc
```

Largest 10 diffraction maxima, sorted by position, 2θ = 10–80°:
- 21.59°, rel. 41
- 21.94°, rel. 33
- 22.44°, rel. 46
- 26.26°, rel. 100
- 29.14°, rel. 59
- 31.09°, rel. 67
- 31.86°, rel. 73
- 35.27°, rel. 43
- 37.44°, rel. 44
- 41.75°, rel. 57

=====

[11]
This entry pairs a crystal structure of Th2MgSn4 with its theoretical powder diffractogram. Radiation: Cu Ka. Structure: a cell relaxed with GGA-PBE.
Intensities are scaled so that the largest is 100.

Structural model:
```
Th2MgSn4
1.0
4.4648 0.0000 0.0000
0.0000 4.4648 0.0000
0.0000 0.0000 10.2686
Th Mg Sn
2 1 4
Direct
0.0000 0.5000 0.2457 Th
0.5000 0.0000 0.7543 Th
0.0000 0.0000 0.5000 Mg
0.0000 0.0000 0.0000 Sn
0.0000 0.5000 0.6794 Sn
0.5000 0.0000 0.3206 Sn
0.5000 0.5000 0.0000 Sn
```

Largest 10 diffraction maxima, sorted by position, 2θ = 10–80°:
- 17.27°, rel. 17
- 21.70°, rel. 20
- 28.27°, rel. 18
- 29.60°, rel. 17
- 32.97°, rel. 20
- 33.32°, rel. 100
- 40.40°, rel. 36
- 58.49°, rel. 17
- 65.14°, rel. 18
- 68.98°, rel. 26

=====

Question: Number 4 is which compound?
Answer: DyYIn2Se4

=====

Question: What is the formula in the eleventh record?
Answer: Th2MgSn4